# Pm4Pr3Dy4
Theoretical powder XRD pattern, a wavelength of 1.5418 Å. Input: the GGA-PBE geometry in Alexandria.
Peak positions follow from Bragg's law for the DFT cell and can differ from measured ones.

Cell and atoms:
abc: 12.213 12.213 12.213
angles: 162.88 134.21 49.23
Element x y z (fractional)
Pm 0.032 0.854 0.178
Pm 0.324 0.146 0.178
Pm 0.676 0.854 0.822
Pm 0.968 0.146 0.822
Pr 0.000 0.500 0.500
Pr 0.391 0.391 0.000
Pr 0.609 0.609 0.000
Dy 0.259 0.759 0.500
Dy 0.318 0.000 0.318
Dy 0.682 0.000 0.682
Dy 0.741 0.241 0.500

Most intense lines, 5° ≤ 2θ ≤ 70°, low angle first:
d/Å	Rel. int.
2.914	88
2.897	100
2.863	51
2.776	30
2.135	27
1.626	30
1.612	29
1.542	26